Calculated XRD peak list of MgFe8O8F8 for CuKα, from a crystal structure in the Materials Project, relaxed with GGA+U.
No peak broadening, texture or thermal motion is included.

Top 12 peaks for 10 to 80 degrees two-theta, sorted by position:
h k l  Position (°2θ)  intensity
0 1 -2  23.32  16
1 1 0  23.64  100
1 -1 0  25.59  100
1 1 -2  28.69  17
0 1 4  34.41  25
1 0 4  34.70  20
1 0 -4  35.53  40
1 1 -4  39.60  15
2 1 4  48.49  14
2 -1 4  51.45  18
-2 1 4  51.85  24
0 0 8  62.81  19

Cell and atoms:
Lattice parameters (Å, degrees): 5.090 5.170 11.847 87.80 88.33 85.48
Positions (direct):
Mg: 0.000 0.000 0.000
Fe: 0.070 0.575 0.391
Fe: 0.086 0.538 0.871
Fe: 0.483 0.052 0.015
Fe: 0.531 0.926 0.763
Fe: 0.539 0.947 0.513
Fe: 0.555 0.945 0.261
Fe: 0.902 0.415 0.637
Fe: 0.957 0.430 0.148
O: 0.176 0.328 0.018
O: 0.297 0.855 0.894
O: 0.339 0.814 0.388
O: 0.678 0.136 0.635
O: 0.736 0.147 0.136
O: 0.790 0.633 0.762
O: 0.819 0.661 0.512
O: 0.831 0.661 0.265
F: 0.192 0.294 0.507
F: 0.198 0.285 0.741
F: 0.224 0.313 0.267
F: 0.296 0.839 0.145
F: 0.325 0.792 0.638
F: 0.702 0.144 0.383
F: 0.743 0.127 0.880
F: 0.799 0.694 0.023



Calculated XRD peak list of V5O12 for CuKα, from a crystal structure in the Materials Project, relaxed with GGA+U.
No peak broadening, texture or thermal motion is included.

Top 12 peaks for 10 to 80 degrees two-theta, sorted by position:
h k l  Position (°2θ)  intensity
0 1 0  19.36  10
0 0 2  19.71  7
1 0 -1  21.17  100
-1 1 1  23.60  9
1 -1 1  23.77  9
-1 1 2  29.19  22
1 -1 2  29.47  24
1 1 2  39.66  29
-2 1 3  46.68  20
1 -2 3  47.07  19
1 2 1  52.82  12
0 3 -1  60.83  10

Cell and atoms:
Lattice parameters (Å, degrees): 4.970 4.973 9.036 92.02 92.92 112.47
Positions (direct):
V: 0.000 0.000 0.000
V: 0.001 0.584 0.731
V: 0.439 0.119 0.221
V: 0.566 0.555 0.440
V: 0.610 0.951 0.710
O: 0.125 0.799 0.126
O: 0.254 0.213 0.366
O: 0.281 0.896 0.833
O: 0.295 0.612 0.609
O: 0.349 0.309 0.076
O: 0.511 0.815 0.343
O: 0.648 0.271 0.616
O: 0.746 0.058 0.097
O: 0.753 0.718 0.855
O: 0.766 0.432 0.319
O: 0.848 0.799 0.588
O: 0.966 0.272 0.833